1.
HoPa2Te4: simulated X-ray diffraction stick pattern (Cu Kα), based on a DFT-relaxed cell (PBE, Alexandria).

Peak list (10 most intense, 2θ = 15–90°, in order of falling intensity)
two_theta, I (rel.), (hkl)
31.41, 100, 1 3 2
36.65, 89, 1 1 5
29.22, 72, 1 3 0
29.79, 59, 1 3 1
43.25, 48, 0 6 3
21.38, 47, 0 2 3
26.19, 44, 0 2 4
44.09, 33, 2 0 0
41.15, 33, 0 6 2
71.95, 27, 1 7 8

Atomic structure:
abc: 4.1082 13.7171 15.6730
angles: 90.00 90.00 90.00
Space group Cmcm (No. 63)
Unique sites:
Ho 0.0000 0.1006 0.2500 [4 per cell]
Pa 0.0000 0.3482 0.0604 [8 per cell]
Te 0.0000 0.0000 0.0000 [4 per cell]
Te 0.0000 0.2977 0.6330 [8 per cell]
Te 0.0000 0.4335 0.2500 [4 per cell]



2.
HoPa3Te6: simulated X-ray diffraction stick pattern (Cu Kα), based on a DFT-relaxed cell (PBE, Alexandria).

Peak list (10 most intense, 2θ = 15–90°, in order of falling intensity)
two_theta, I (rel.), (hkl)
34.78, 100, 2 4 1
23.32, 57, 0 2 1
19.55, 48, 2 2 0
32.01, 28, 4 0 0
39.98, 27, 4 2 1
38.27, 24, 2 6 0
41.25, 18, 0 0 2
57.52, 15, 2 6 2
58.86, 15, 6 4 1
53.15, 14, 4 0 2

Atomic structure:
abc: 11.1829 15.5534 4.3772
angles: 90.00 90.00 90.00
Space group Cmmm (No. 65)
Unique sites:
Ho 0.0000 0.0000 0.0000 [2 per cell]
Pa 0.0000 0.5000 0.0000 [2 per cell]
Pa 0.2500 0.2500 0.5000 [4 per cell]
Te 0.0000 0.1465 0.5000 [4 per cell]
Te 0.2168 0.3840 0.0000 [8 per cell]



3.
HoPaTe3: simulated X-ray diffraction stick pattern (Cu Kα), based on a DFT-relaxed cell (PBE, Alexandria).

Peak list (10 most intense, 2θ = 15–90°, in order of falling intensity)
two_theta, I (rel.), (hkl)
28.85, 100, 1 0 4
42.11, 53, 1 1 0
40.40, 49, 1 0 8
26.81, 45, 1 0 3
66.50, 26, 1 1 12
31.31, 21, 1 0 5
59.77, 21, 2 0 8
15.87, 20, 0 0 4
51.85, 20, 2 0 4
37.13, 17, 1 0 7

Atomic structure:
abc: 4.2921 4.2921 22.3360
angles: 90.00 90.00 120.00
Space group P6_3mc (No. 186)
Unique sites:
Ho 0.3333 0.6667 0.0000 [2 per cell]
Pa 0.0000 0.0000 0.1770 [2 per cell]
Te 0.0000 0.0000 0.4265 [2 per cell]
Te 0.3333 0.6667 0.2579 [2 per cell]
Te 0.3333 0.6667 0.5884 [2 per cell]



4.
Ho3Pb: simulated X-ray diffraction stick pattern (Cu Kα), based on a DFT-relaxed cell (PBE, Alexandria).

Peak list (10 most intense, 2θ = 15–90°, in order of falling intensity)
two_theta, I (rel.), (hkl)
31.96, 100, 1 1 2
38.54, 30, 2 0 0
65.62, 26, 3 1 2
52.30, 25, 2 0 4
33.97, 21, 0 0 4
59.53, 17, 1 1 6
85.90, 13, 3 1 6
66.82, 12, 2 2 4
55.64, 11, 2 2 0
84.29, 7, 2 0 8

Atomic structure:
abc: 4.6720 4.6720 10.5561
angles: 90.00 90.00 90.00
Space group I4/mmm (No. 139)
Unique sites:
Ho 0.0000 0.0000 0.0000 [2 per cell]
Ho 0.0000 0.5000 0.2500 [4 per cell]
Pb 0.0000 0.0000 0.5000 [2 per cell]



5.
Ho3Pb: simulated X-ray diffraction stick pattern (Cu Kα), based on a DFT-relaxed cell (PBE, Alexandria).

Peak list (10 most intense, 2θ = 15–90°, in order of falling intensity)
two_theta, I (rel.), (hkl)
30.33, 100, 3 3 0
36.64, 95, 5 1 0
32.80, 80, 4 1 1
29.43, 71, 2 3 1
31.98, 69, 2 4 0
35.19, 46, 2 2 2
61.07, 27, 6 4 2
60.08, 25, 1 7 2
38.75, 21, 4 3 1
51.18, 18, 2 3 3

Atomic structure:
abc: 12.5203 12.5203 6.2415
angles: 90.00 90.00 90.00
Space group I-4 (No. 82)
Unique sites:
Ho 0.0329 0.3534 0.4795 [8 per cell]
Ho 0.0810 0.8918 0.2705 [8 per cell]
Ho 0.1782 0.7816 0.7523 [8 per cell]
Pb 0.0425 0.2997 0.9787 [8 per cell]



6.
Ho3Pb4: simulated X-ray diffraction stick pattern (Cu Kα), based on a DFT-relaxed cell (PBE, Alexandria).

Peak list (10 most intense, 2θ = 15–90°, in order of falling intensity)
two_theta, I (rel.), (hkl)
32.19, 100, 1 2 2
29.13, 73, 1 3 1
33.32, 71, 4 1 0
36.93, 38, 4 -1 2
45.99, 20, 2 5 0
34.25, 19, 5 -2 1
31.78, 17, 4 0 1
61.82, 17, 2 5 3
60.14, 17, 5 4 1
67.35, 15, 6 -4 4

Atomic structure:
abc: 14.2310 14.2310 6.9322
angles: 90.00 90.00 120.00
Space group R-3 (No. 148, hexagonal axes)
Unique sites:
Ho 0.0481 0.8463 0.2449 [18 per cell]
Pb 0.0000 0.0000 0.0000 [3 per cell]
Pb 0.0000 0.0000 0.5000 [3 per cell]
Pb 0.0429 0.6020 0.3429 [18 per cell]